Cs5Na2Cd: calculated powder XRD pattern (Cu Ka), based on DFT lattice parameters and positions (GGA-PBE).

Peak list (6 most intense, 2θ from 10° to 90°, low angle first)
d (Å)  2theta  I/Imax  hkl
5.082  17.45  69  1 1 1
4.606  19.27  68  0 2 5
4.179  21.26  100  1 1 4
3.652  24.37  81  1 3 2
3.614  24.63  74  0 2 7
3.511  25.37  54  1 3 3

Structural model:
a = 5.470 Å, b = 15.681 Å, c = 28.456 Å
α = 90.00°, β = 90.00°, γ = 90.00°
Space group Cmcm (No. 63)
One atom of each set of equivalent atoms:
Cs: 0.000 0.015 0.250
Cs: 0.000 0.138 0.051
Cs: 0.000 0.406 0.123
Na: 0.000 0.281 0.687
Cd: 0.000 0.285 0.250